Structure and computed powder diffraction line list of CrH8C4NO10 (a DFT-relaxed cell (PBE+U, Alexandria); Cu Kα X-rays).
Lines closer than 0.1° are merged.

Structural model:
abc: 6.842 7.325 10.411
angles: 90.00 92.24 90.00
Space group Cm (No. 8)
One atom of each set of equivalent atoms:
Cr  0.000  0.000  0.000 (multiplicity 2)
H  0.095  0.500  0.523 (multiplicity 2)
H  0.156  0.387  0.899 (multiplicity 4)
H  0.346  0.113  0.101 (multiplicity 4)
H  0.356  0.000  0.560 (multiplicity 2)
H  0.427  0.116  0.431 (multiplicity 4)
C  0.129  0.106  0.757 (multiplicity 4)
C  0.378  0.394  0.246 (multiplicity 4)
N  0.453  0.000  0.487 (multiplicity 2)
O  0.069  0.180  0.864 (multiplicity 4)
O  0.187  0.192  0.665 (multiplicity 4)
O  0.215  0.500  0.940 (multiplicity 2)
O  0.284  0.000  0.063 (multiplicity 2)
O  0.327  0.309  0.341 (multiplicity 4)
O  0.433  0.320  0.138 (multiplicity 4)

The 10 most intense peaks (2θ = 10–80°), in order of falling intensity:
| two_theta | d [Å] | I/Imax | index |
| --- | --- | --- | --- |
| 19.93 | 4.456 | 100.0 | 1 1 1 |
| 17.75 | 4.998 | 76.7 | 1 1 0 |
| 27.79 | 3.210 | 64.8 | 2 0 1 |
| 29.83 | 2.995 | 33.7 | 0 2 2 |
| 30.96 | 2.888 | 25.1 | 1 1 -3 |
| 25.76 | 3.458 | 22.9 | 0 2 1 |
| 42.77 | 2.114 | 22.2 | 3 1 1 |
| 42.64 | 2.121 | 18.4 | 0 2 4 |
| 40.05 | 2.252 | 16.7 | 1 3 -1 |
| 45.80 | 1.981 | 14.8 | 3 1 2 |